Theoretical PXRD pattern
Compound: HRhS2
Radiation: Cu Ka
Structure: a structure optimized by DFT (PBE)
No peak broadening, texture or thermal motion is included.

Crystal structure
Lattice parameters (Å, degrees): 3.4832 20.9382 3.2345 90.00 90.00 90.00
Space group Cmcm (No. 63)
Symmetry-distinct sites (fractional):
H (0.0000, 0.0660, 0.2500) (multiplicity 4)
Rh (0.0000, 0.3284, 0.2500) (multiplicity 4)
S (0.0000, 0.0860, 0.7500) (multiplicity 4)
S (0.0000, 0.2089, 0.2500) (multiplicity 4)

Peak list (8 most intense, 2θ from 10° to 90°, by angle)
d [Å], two_theta, intensity
5.235, 16.9, 31
3.117, 28.6, 60
3.090, 28.9, 91
2.355, 38.2, 100
2.063, 43.9, 42
1.935, 47.0, 39
1.858, 49.0, 66
1.758, 52.0, 35